Entry 1:
For Tb3Pr4Sc, a crystal structure in Alexandria, relaxed with GGA-PBE gives the calculated powder diffraction line list in this record (Cu Kα).
Lines closer than 0.1° are merged.

The 12 most intense peaks (10° ≤ 2θ ≤ 80°), low angle first:
| 2θ/deg | intensity |
| --- | --- |
| 28.23 | 24 |
| 28.37 | 13 |
| 30.88 | 37 |
| 32.26 | 100 |
| 32.39 | 48 |
| 42.33 | 16 |
| 49.88 | 10 |
| 50.15 | 19 |
| 55.83 | 30 |
| 59.83 | 11 |
| 60.06 | 21 |
| 60.74 | 16 |

Structural model:
Lattice parameters (Å, degrees): 11.582 7.313 6.292 90.00 90.00 90.00
Element x y z (fractional)
Tb: 0.000 0.122 0.000
Tb: 0.250 0.117 0.327
Tb: 0.250 0.883 0.827
Tb: 0.500 0.878 0.500
Tb: 0.750 0.117 0.327
Tb: 0.750 0.883 0.827
Pr: 0.000 0.366 0.506
Pr: 0.000 0.630 0.980
Pr: 0.240 0.631 0.336
Pr: 0.260 0.369 0.836
Pr: 0.500 0.370 0.480
Pr: 0.500 0.634 0.006
Pr: 0.740 0.369 0.836
Pr: 0.760 0.631 0.336
Sc: 0.000 0.886 0.494
Sc: 0.500 0.114 0.994

=====

Entry 2:
For Nd4Y5Ho3, a crystal structure in Alexandria, relaxed with GGA-PBE gives the calculated powder diffraction line list in this record (Cu Kα).
Lines closer than 0.1° are merged.

The 12 most intense peaks (10° ≤ 2θ ≤ 80°), low angle first:
| 2θ/deg | intensity |
| --- | --- |
| 28.91 | 47 |
| 29.26 | 25 |
| 30.06 | 100 |
| 30.93 | 36 |
| 31.55 | 40 |
| 32.27 | 84 |
| 32.54 | 39 |
| 33.32 | 70 |
| 42.22 | 24 |
| 43.67 | 29 |
| 54.79 | 25 |
| 59.72 | 23 |

Structural model:
Lattice parameters (Å, degrees): 8.647 8.647 9.411 114.96 114.96 40.22
Element x y z (fractional)
Nd: 0.085 0.085 0.448
Nd: 0.217 0.217 0.883
Nd: 0.783 0.783 0.117
Nd: 0.915 0.915 0.552
Y: 0.000 0.000 0.000
Y: 0.329 0.329 0.617
Y: 0.429 0.429 0.296
Y: 0.571 0.571 0.704
Y: 0.671 0.671 0.383
Ho: 0.212 0.212 0.236
Ho: 0.500 0.500 0.000
Ho: 0.788 0.788 0.764

=====

Entry 3:
For Li2Ca6Cd, a crystal structure in Alexandria, relaxed with GGA-PBE gives the calculated powder diffraction line list in this record (Cu Kα).
Lines closer than 0.1° are merged.

The 12 most intense peaks (10° ≤ 2θ ≤ 80°), low angle first:
| 2θ/deg | intensity |
| --- | --- |
| 10.67 | 28 |
| 17.06 | 20 |
| 18.19 | 33 |
| 25.29 | 8 |
| 26.28 | 13 |
| 30.45 | 100 |
| 32.40 | 47 |
| 40.57 | 8 |
| 40.96 | 9 |
| 46.47 | 18 |
| 52.85 | 13 |
| 56.59 | 30 |

Structural model:
Lattice parameters (Å, degrees): 10.642 8.740 7.220 83.06 54.61 42.33
Element x y z (fractional)
Li: 0.167 0.167 0.833
Li: 0.833 0.833 0.167
Ca: 0.142 0.858 0.142
Ca: 0.190 0.482 0.518
Ca: 0.482 0.190 0.810
Ca: 0.518 0.810 0.190
Ca: 0.810 0.518 0.482
Ca: 0.858 0.142 0.858
Cd: 0.500 0.500 0.500

=====

Entry 4:
For Sm6YEr2Th, a crystal structure in Alexandria, relaxed with GGA-PBE gives the calculated powder diffraction line list in this record (Cu Kα).
Lines closer than 0.1° are merged.

The 12 most intense peaks (10° ≤ 2θ ≤ 80°), low angle first:
| 2θ/deg | intensity |
| --- | --- |
| 27.87 | 29 |
| 28.40 | 70 |
| 29.99 | 68 |
| 30.54 | 66 |
| 30.95 | 89 |
| 31.40 | 100 |
| 32.42 | 45 |
| 33.18 | 31 |
| 33.82 | 34 |
| 38.29 | 22 |
| 46.18 | 22 |
| 53.16 | 29 |

Structural model:
Lattice parameters (Å, degrees): 8.824 8.824 9.610 93.70 93.70 116.36
Element x y z (fractional)
Sm: 0.012 0.571 0.184
Sm: 0.111 0.762 0.558
Sm: 0.238 0.889 0.942
Sm: 0.295 0.516 0.382
Sm: 0.429 0.988 0.316
Sm: 0.484 0.705 0.118
Sm: 0.516 0.295 0.882
Sm: 0.571 0.012 0.684
Sm: 0.705 0.484 0.618
Sm: 0.762 0.111 0.058
Sm: 0.889 0.238 0.442
Sm: 0.988 0.429 0.816
Y: 0.408 0.592 0.750
Y: 0.592 0.408 0.250
Er: 0.202 0.295 0.051
Er: 0.295 0.202 0.551
Er: 0.705 0.798 0.449
Er: 0.798 0.705 0.949
Th: 0.032 0.968 0.250
Th: 0.968 0.032 0.750

=====

Entry 5:
For Ac6Mg15Hg8, a crystal structure in Alexandria, relaxed with GGA-PBE gives the calculated powder diffraction line list in this record (Cu Kα).
Lines closer than 0.1° are merged.

The 12 most intense peaks (10° ≤ 2θ ≤ 80°), low angle first:
| 2θ/deg | intensity |
| --- | --- |
| 10.43 | 11 |
| 20.04 | 17 |
| 20.94 | 32 |
| 26.44 | 39 |
| 31.64 | 28 |
| 34.53 | 100 |
| 44.01 | 11 |
| 49.64 | 14 |
| 50.87 | 19 |
| 61.87 | 28 |
| 62.94 | 12 |
| 73.81 | 12 |

Structural model:
Lattice parameters (Å, degrees): 10.390 10.390 10.390 60.00 60.00 60.00
Element x y z (fractional)
Ac: 0.223 0.223 0.777
Ac: 0.223 0.777 0.223
Ac: 0.223 0.777 0.777
Ac: 0.777 0.223 0.223
Ac: 0.777 0.223 0.777
Ac: 0.777 0.777 0.223
Mg: 0.000 0.000 0.500
Mg: 0.000 0.500 0.000
Mg: 0.000 0.500 0.500
Mg: 0.172 0.172 0.172
Mg: 0.172 0.172 0.484
Mg: 0.172 0.484 0.172
Mg: 0.484 0.172 0.172
Mg: 0.500 0.000 0.000
Mg: 0.500 0.000 0.500
Mg: 0.500 0.500 0.000
Mg: 0.500 0.500 0.500
Mg: 0.516 0.828 0.828
Mg: 0.828 0.516 0.828
Mg: 0.828 0.828 0.516
Mg: 0.828 0.828 0.828
Hg: 0.115 0.628 0.628
Hg: 0.372 0.372 0.372
Hg: 0.372 0.372 0.885
Hg: 0.372 0.885 0.372
Hg: 0.628 0.115 0.628
Hg: 0.628 0.628 0.115
Hg: 0.628 0.628 0.628
Hg: 0.885 0.372 0.372

=====

Entry 6:
For Na8B11C5, a crystal structure in Alexandria, relaxed with GGA-PBE gives the calculated powder diffraction line list in this record (Cu Kα).
Lines closer than 0.1° are merged.

The 12 most intense peaks (10° ≤ 2θ ≤ 80°), low angle first:
| 2θ/deg | intensity |
| --- | --- |
| 35.01 | 12 |
| 36.38 | 16 |
| 40.99 | 48 |
| 42.01 | 38 |
| 42.19 | 100 |
| 55.80 | 6 |
| 56.76 | 9 |
| 63.69 | 18 |
| 66.33 | 8 |
| 76.06 | 6 |
| 76.88 | 13 |
| 79.26 | 17 |

Structural model:
Lattice parameters (Å, degrees): 5.126 5.637 9.085 98.92 106.35 90.00
Element x y z (fractional)
Na: 0.000 0.000 0.000
Na: 0.000 0.500 0.000
Na: 0.245 0.123 0.494
Na: 0.245 0.623 0.494
Na: 0.495 0.249 0.995
Na: 0.496 0.749 0.998
Na: 0.744 0.873 0.492
Na: 0.748 0.374 0.495
B: 0.194 0.437 0.746
B: 0.194 0.936 0.746
B: 0.288 0.311 0.246
B: 0.304 0.811 0.246
B: 0.521 0.437 0.745
B: 0.522 0.936 0.746
B: 0.737 0.186 0.747
B: 0.737 0.687 0.745
B: 0.775 0.549 0.246
B: 0.776 0.073 0.246
B: 0.968 0.811 0.246
C: 0.035 0.686 0.746
C: 0.036 0.186 0.747
C: 0.460 0.067 0.246
C: 0.460 0.556 0.245
C: 0.961 0.311 0.246

=====

Entry 7:
For Th3P3N, a crystal structure in Alexandria, relaxed with GGA-PBE gives the calculated powder diffraction line list in this record (Cu Kα).
Lines closer than 0.1° are merged.

The 12 most intense peaks (10° ≤ 2θ ≤ 80°), low angle first:
| 2θ/deg | intensity |
| --- | --- |
| 26.23 | 24 |
| 26.56 | 100 |
| 27.13 | 28 |
| 27.49 | 35 |
| 30.77 | 16 |
| 32.11 | 21 |
| 33.53 | 14 |
| 38.37 | 22 |
| 43.49 | 18 |
| 43.87 | 19 |
| 48.04 | 17 |
| 51.69 | 20 |

Structural model:
Lattice parameters (Å, degrees): 11.762 4.162 12.977 90.00 90.00 90.00
Element x y z (fractional)
Th: 0.030 0.250 0.154
Th: 0.105 0.250 0.622
Th: 0.240 0.250 0.878
Th: 0.260 0.750 0.378
Th: 0.395 0.750 0.122
Th: 0.470 0.750 0.654
Th: 0.530 0.250 0.346
Th: 0.605 0.250 0.878
Th: 0.740 0.250 0.622
Th: 0.760 0.750 0.122
Th: 0.895 0.750 0.378
Th: 0.970 0.750 0.846
P: 0.068 0.250 0.391
P: 0.148 0.750 0.012
P: 0.233 0.750 0.718
P: 0.267 0.250 0.218
P: 0.352 0.250 0.512
P: 0.432 0.750 0.891
P: 0.568 0.250 0.109
P: 0.648 0.750 0.488
P: 0.733 0.750 0.782
P: 0.767 0.250 0.282
P: 0.852 0.250 0.988
P: 0.932 0.750 0.609
N: 0.056 0.250 0.801
N: 0.444 0.750 0.301
N: 0.556 0.250 0.699
N: 0.944 0.750 0.199

=====

Entry 8:
For Dy4CoTe, a crystal structure in Alexandria, relaxed with GGA-PBE gives the calculated powder diffraction line list in this record (Cu Kα).
Lines closer than 0.1° are merged.

The 12 most intense peaks (10° ≤ 2θ ≤ 80°), low angle first:
| 2θ/deg | intensity |
| --- | --- |
| 31.54 | 100 |
| 31.70 | 70 |
| 32.09 | 15 |
| 32.71 | 36 |
| 32.92 | 40 |
| 34.13 | 30 |
| 34.72 | 60 |
| 37.62 | 17 |
| 39.52 | 17 |
| 40.55 | 17 |
| 47.05 | 31 |
| 58.62 | 22 |

Structural model:
Lattice parameters (Å, degrees): 8.244 3.863 19.399 90.00 90.00 90.00
Element x y z (fractional)
Dy: 0.021 0.250 0.068
Dy: 0.045 0.750 0.217
Dy: 0.136 0.750 0.646
Dy: 0.145 0.750 0.454
Dy: 0.355 0.250 0.954
Dy: 0.364 0.250 0.146
Dy: 0.455 0.250 0.717
Dy: 0.479 0.750 0.568
Dy: 0.521 0.250 0.432
Dy: 0.545 0.750 0.283
Dy: 0.636 0.750 0.854
Dy: 0.645 0.750 0.046
Dy: 0.855 0.250 0.546
Dy: 0.864 0.250 0.354
Dy: 0.955 0.250 0.783
Dy: 0.979 0.750 0.932
Co: 0.231 0.250 0.552
Co: 0.269 0.750 0.052
Co: 0.731 0.250 0.948
Co: 0.769 0.750 0.448
Te: 0.247 0.250 0.314
Te: 0.253 0.750 0.814
Te: 0.747 0.250 0.186
Te: 0.753 0.750 0.686

=====

Entry 9:
For Ho4SbSeS2, a crystal structure in Alexandria, relaxed with GGA-PBE gives the calculated powder diffraction line list in this record (Cu Kα).
Lines closer than 0.1° are merged.

The 12 most intense peaks (10° ≤ 2θ ≤ 80°), low angle first:
| 2θ/deg | intensity |
| --- | --- |
| 25.77 | 6 |
| 26.93 | 32 |
| 31.19 | 100 |
| 34.06 | 9 |
| 44.67 | 59 |
| 44.78 | 12 |
| 52.92 | 9 |
| 55.43 | 11 |
| 55.58 | 12 |
| 62.19 | 5 |
| 65.05 | 11 |
| 73.91 | 19 |

Structural model:
Lattice parameters (Å, degrees): 8.111 8.111 8.111 120.12 119.87 90.01
Element x y z (fractional)
Ho: 0.261 0.247 0.487
Ho: 0.261 0.774 0.013
Ho: 0.266 0.243 0.023
Ho: 0.280 0.757 0.523
Ho: 0.720 0.243 0.477
Ho: 0.734 0.757 0.977
Ho: 0.739 0.226 0.987
Ho: 0.739 0.753 0.513
Sb: 0.000 0.000 0.500
Sb: 0.000 0.500 0.000
Se: 0.000 0.500 0.500
Se: 0.500 0.500 0.000
S: 0.000 0.000 0.000
S: 0.500 0.000 0.000
S: 0.500 0.000 0.500
S: 0.500 0.500 0.500

=====

Entry 10:
For Zn7Sb8Ru9, a crystal structure in Alexandria, relaxed with GGA-PBE gives the calculated powder diffraction line list in this record (Cu Kα).
Lines closer than 0.1° are merged.

The 12 most intense peaks (10° ≤ 2θ ≤ 80°), low angle first:
| 2θ/deg | intensity |
| --- | --- |
| 12.77 | 6 |
| 24.59 | 14 |
| 25.70 | 5 |
| 29.77 | 12 |
| 32.51 | 14 |
| 38.98 | 16 |
| 42.60 | 100 |
| 59.10 | 5 |
| 61.82 | 15 |
| 63.41 | 5 |
| 67.57 | 4 |
| 77.97 | 28 |

Structural model:
Lattice parameters (Å, degrees): 8.490 8.490 8.490 60.00 60.00 60.00
Element x y z (fractional)
Zn: 0.000 0.000 0.000
Zn: 0.000 0.000 0.500
Zn: 0.000 0.500 0.000
Zn: 0.000 0.500 0.500
Zn: 0.500 0.000 0.000
Zn: 0.500 0.000 0.500
Zn: 0.500 0.500 0.000
Sb: 0.250 0.250 0.250
Sb: 0.274 0.274 0.726
Sb: 0.274 0.726 0.274
Sb: 0.274 0.726 0.726
Sb: 0.726 0.274 0.274
Sb: 0.726 0.274 0.726
Sb: 0.726 0.726 0.274
Sb: 0.750 0.750 0.750
Ru: 0.124 0.124 0.124
Ru: 0.124 0.124 0.629
Ru: 0.124 0.629 0.124
Ru: 0.371 0.876 0.876
Ru: 0.500 0.500 0.500
Ru: 0.629 0.124 0.124
Ru: 0.876 0.371 0.876
Ru: 0.876 0.876 0.371
Ru: 0.876 0.876 0.876

=====

Entry 11:
For Ba2MgPd2, a crystal structure in Alexandria, relaxed with GGA-PBE gives the calculated powder diffraction line list in this record (Cu Kα).
Lines closer than 0.1° are merged.

The 12 most intense peaks (10° ≤ 2θ ≤ 80°), low angle first:
| 2θ/deg | intensity |
| --- | --- |
| 22.59 | 100 |
| 30.73 | 79 |
| 32.89 | 65 |
| 37.63 | 21 |
| 39.31 | 73 |
| 40.17 | 30 |
| 40.37 | 21 |
| 45.81 | 15 |
| 50.70 | 19 |
| 52.16 | 17 |
| 65.97 | 17 |
| 67.22 | 16 |

Structural model:
Lattice parameters (Å, degrees): 10.324 10.324 10.324 25.66 25.66 25.66
Element x y z (fractional)
Ba: 0.079 0.079 0.079
Ba: 0.921 0.921 0.921
Mg: 0.500 0.500 0.500
Pd: 0.189 0.189 0.189
Pd: 0.811 0.811 0.811

=====

What is the formula in the tenth record? Zn7Sb8Ru9